Sr3Mn4O12: simulated PXRD pattern (CuKα), based on a structure optimized by DFT (GGA+U).
Lines closer than 0.1° are merged.

Cell and atoms:
```
Sr3Mn4O12
1.0
5.5184 0.0000 0.0000
-2.7592 4.7791 0.0000
0.0000 0.0000 9.3536
Sr Mn O
3 4 12
direct
0.0000 0.0000 0.0000
0.3333 0.6667 0.7379
0.6667 0.3333 0.2621
0.3333 0.6667 0.1109
0.3333 0.6667 0.3856
0.6667 0.3333 0.6144
0.6667 0.3333 0.8891
0.0000 0.5000 0.0000
0.0000 0.5000 0.5000
0.1835 0.3670 0.2471
0.1835 0.8165 0.2471
0.3670 0.1835 0.7529
0.5000 0.0000 0.0000
0.5000 0.0000 0.5000
0.5000 0.5000 0.0000
0.5000 0.5000 0.5000
0.6330 0.8165 0.2471
0.8165 0.1835 0.7529
0.8165 0.6330 0.7529
```

Top 6 peaks for 2θ = 10–80°, sorted by position:
hkl 1 0 0, 18.57°, I 480; hkl 1 1 0, 32.45°, I 1000; hkl 0 1 3, 34.34°, I 772; hkl 2 0 2, 42.48°, I 462; hkl 2 0 3, 47.97°, I 552; hkl 1 2 3, 59.11°, I 351